Simulated X-ray diffraction stick pattern of Hf2Zr2Bi3 for λ = 1.5418 Å (Cu Kα), from a DFT-relaxed cell (PBE, Alexandria).

Atomic structure:
Unit cell a=6.7163 b=7.5124 c=7.5545 alpha=90.00 beta=109.40 gamma=90.00
Fractional coordinates of all 14 atoms:
Hf (0.0530, 0.1460, 0.3702)
Hf (0.0530, 0.3540, 0.8702)
Hf (0.9470, 0.6460, 0.1298)
Hf (0.9470, 0.8540, 0.6298)
Zr (0.3492, 0.6822, 0.9528)
Zr (0.3492, 0.8178, 0.4528)
Zr (0.6508, 0.1822, 0.5472)
Zr (0.6508, 0.3178, 0.0472)
Bi (0.0000, 0.0000, 0.0000)
Bi (0.0000, 0.5000, 0.5000)
Bi (0.3628, 0.0722, 0.7634)
Bi (0.3628, 0.4278, 0.2634)
Bi (0.6372, 0.5722, 0.7366)
Bi (0.6372, 0.9278, 0.2366)

Top 10 peaks for 10 to 80 degrees two-theta, sorted by position:
2theta	I_rel	h k l
28.3	54	1 2 -1
29.3	88	2 1 -1
32.3	62	1 2 1
33.2	62	2 1 -2
34.2	46	1 2 -2
34.8	57	1 1 2
36.0	52	2 2 -1
37.7	100	1 1 -3
38.1	54	0 3 1
42.8	45	3 0 0